Sm12Tl3Zn: computed powder diffraction line list (Cu Kα), based on a cell relaxed with PBE.
Kinematic intensities with the Lorentz-polarization factor, no thermal factor.

Structure:
abc: 4.918 4.918 19.584
angles: 90.00 90.00 90.00
Positions (direct):
Sm (0.000, 0.000, 0.000)
Sm (0.000, 0.000, 0.245)
Sm (0.000, 0.000, 0.500)
Sm (0.000, 0.000, 0.755)
Sm (0.000, 0.500, 0.119)
Sm (0.000, 0.500, 0.373)
Sm (0.000, 0.500, 0.627)
Sm (0.000, 0.500, 0.881)
Sm (0.500, 0.000, 0.119)
Sm (0.500, 0.000, 0.373)
Sm (0.500, 0.000, 0.627)
Sm (0.500, 0.000, 0.881)
Tl (0.500, 0.500, 0.248)
Tl (0.500, 0.500, 0.500)
Tl (0.500, 0.500, 0.752)
Zn (0.500, 0.500, 0.000)

Most intense lines, 5 to 70 degrees two-theta, sorted by position:
Position (°2θ)  I/Imax
18.6  1
29.1  2
31.6  100
36.5  34
36.7  16
49.3  1
52.6  12
52.8  23
58.2  1
62.7  28
62.9  13
65.9  12

Sm6Tl3Zn: computed powder diffraction line list (Cu Kα), based on a cell relaxed with PBE.
Kinematic intensities with the Lorentz-polarization factor, no thermal factor.

Structure:
abc: 11.608 3.784 14.643
angles: 90.00 108.51 90.00
Positions (direct):
Sm (0.001, 0.250, 0.171)
Sm (0.096, 0.750, 0.412)
Sm (0.257, 0.250, 0.841)
Sm (0.325, 0.250, 0.259)
Sm (0.365, 0.250, 0.624)
Sm (0.401, 0.750, 0.056)
Sm (0.599, 0.250, 0.944)
Sm (0.635, 0.750, 0.376)
Sm (0.675, 0.750, 0.741)
Sm (0.743, 0.750, 0.159)
Sm (0.904, 0.250, 0.588)
Sm (0.999, 0.750, 0.829)
Tl (0.137, 0.750, 0.646)
Tl (0.153, 0.250, 0.023)
Tl (0.384, 0.750, 0.447)
Tl (0.616, 0.250, 0.553)
Tl (0.847, 0.750, 0.977)
Tl (0.863, 0.250, 0.354)
Zn (0.441, 0.750, 0.800)
Zn (0.559, 0.250, 0.200)

Most intense lines, 5 to 70 degrees two-theta, sorted by position:
Position (°2θ)  I/Imax
26.4  51
30.5  85
30.6  59
30.9  31
32.1  42
33.5  73
34.0  35
35.1  100
35.7  39
48.1  38
58.1  21
61.3  22

SmTlZn4: computed powder diffraction line list (Cu Kα), based on a cell relaxed with PBE.
Kinematic intensities with the Lorentz-polarization factor, no thermal factor.

Structure:
abc: 5.554 5.554 5.554
angles: 60.00 60.00 60.00
Positions (direct):
Sm (0.000, 0.000, 0.000)
Tl (0.250, 0.250, 0.250)
Zn (0.122, 0.626, 0.626)
Zn (0.626, 0.122, 0.626)
Zn (0.626, 0.626, 0.122)
Zn (0.626, 0.626, 0.626)

Most intense lines, 5 to 70 degrees two-theta, sorted by position:
Position (°2θ)  I/Imax
19.6  13
22.6  2
32.2  62
38.0  100
39.8  16
50.7  4
52.1  1
57.5  24
61.3  32
67.4  24

Sm2TlZn5: computed powder diffraction line list (Cu Kα), based on a cell relaxed with PBE.
Kinematic intensities with the Lorentz-polarization factor, no thermal factor.

Structure:
abc: 8.557 8.557 9.106
angles: 90.00 90.00 149.97
Positions (direct):
Sm (0.000, 0.000, 0.000)
Sm (0.000, 0.000, 0.500)
Sm (0.204, 0.796, 0.750)
Sm (0.796, 0.204, 0.250)
Tl (0.447, 0.553, 0.250)
Tl (0.553, 0.447, 0.750)
Zn (0.186, 0.814, 0.109)
Zn (0.186, 0.814, 0.391)
Zn (0.344, 0.656, 0.017)
Zn (0.344, 0.656, 0.483)
Zn (0.392, 0.608, 0.750)
Zn (0.608, 0.392, 0.250)
Zn (0.656, 0.344, 0.517)
Zn (0.656, 0.344, 0.983)
Zn (0.814, 0.186, 0.609)
Zn (0.814, 0.186, 0.891)

Most intense lines, 5 to 70 degrees two-theta, sorted by position:
Position (°2θ)  I/Imax
27.6  20
28.6  51
32.5  100
33.8  49
34.0  20
36.3  26
38.2  24
39.6  37
40.7  45
44.4  23
54.0  20
61.8  18

SmZrTl2: computed powder diffraction line list (Cu Kα), based on a cell relaxed with PBE.
Kinematic intensities with the Lorentz-polarization factor, no thermal factor.

Structure:
abc: 3.398 3.398 8.807
angles: 90.00 90.00 90.00
Positions (direct):
Sm (0.000, 0.000, 0.000)
Zr (0.000, 0.000, 0.500)
Tl (0.500, 0.500, 0.264)
Tl (0.500, 0.500, 0.736)

Most intense lines, 5 to 70 degrees two-theta, sorted by position:
Position (°2θ)  I/Imax
20.2  4
26.2  5
28.2  3
33.3  100
37.4  37
41.0  13
42.9  3
54.0  13
56.7  21
64.9  29
69.8  10
69.9  11

Sm5Tm: computed powder diffraction line list (Cu Kα), based on a cell relaxed with PBE.
Kinematic intensities with the Lorentz-polarization factor, no thermal factor.

Structure:
abc: 5.097 10.801 7.214
angles: 90.00 90.00 90.00
Positions (direct):
Sm (0.250, 0.083, 0.124)
Sm (0.250, 0.084, 0.626)
Sm (0.250, 0.416, 0.626)
Sm (0.250, 0.417, 0.124)
Sm (0.250, 0.750, 0.626)
Sm (0.750, 0.250, 0.374)
Sm (0.750, 0.583, 0.876)
Sm (0.750, 0.584, 0.374)
Sm (0.750, 0.916, 0.374)
Sm (0.750, 0.917, 0.876)
Tm (0.250, 0.750, 0.124)
Tm (0.750, 0.250, 0.876)

Most intense lines, 5 to 70 degrees two-theta, sorted by position:
Position (°2θ)  I/Imax
30.4  100
35.2  51
50.7  36
60.2  43
63.2  12

Sm3Tm13: computed powder diffraction line list (Cu Kα), based on a cell relaxed with PBE.
Kinematic intensities with the Lorentz-polarization factor, no thermal factor.

Structure:
abc: 7.186 8.344 8.344
angles: 83.80 90.00 90.00
Positions (direct):
Sm (0.000, 0.000, 0.000)
Sm (0.252, 0.253, 0.253)
Sm (0.748, 0.253, 0.253)
Tm (0.000, 0.083, 0.586)
Tm (0.000, 0.503, 0.503)
Tm (0.000, 0.586, 0.083)
Tm (0.250, 0.750, 0.750)
Tm (0.251, 0.337, 0.832)
Tm (0.251, 0.832, 0.337)
Tm (0.500, 0.000, 0.000)
Tm (0.500, 0.081, 0.587)
Tm (0.500, 0.503, 0.503)
Tm (0.500, 0.587, 0.081)
Tm (0.749, 0.337, 0.832)
Tm (0.749, 0.832, 0.337)
Tm (0.750, 0.750, 0.750)

Most intense lines, 5 to 70 degrees two-theta, sorted by position:
Position (°2θ)  I/Imax
28.7  24
32.1  24
33.0  100
43.6  16
50.8  7
50.9  13
57.8  20
59.4  2
61.5  23
62.0  16
67.2  3
69.2  4

Sm4Tm5: computed powder diffraction line list (Cu Kα), based on a cell relaxed with PBE.
Kinematic intensities with the Lorentz-polarization factor, no thermal factor.

Structure:
abc: 9.051 9.051 9.051
angles: 156.80 96.35 88.29
Positions (direct):
Sm (0.046, 0.189, 0.857)
Sm (0.332, 0.189, 0.143)
Sm (0.668, 0.811, 0.857)
Sm (0.954, 0.811, 0.143)
Tm (0.000, 0.500, 0.500)
Tm (0.296, 0.500, 0.796)
Tm (0.375, 0.875, 0.500)
Tm (0.625, 0.125, 0.500)
Tm (0.704, 0.500, 0.204)

Most intense lines, 5 to 70 degrees two-theta, sorted by position:
Position (°2θ)  I/Imax
29.1  18
30.3  94
32.1  100
32.7  27
33.2  94
35.3  20
50.1  18
52.9  32
54.3  17
56.4  16
59.7  28
61.2  25

Sm2Tm7: computed powder diffraction line list (Cu Kα), based on a cell relaxed with PBE.
Kinematic intensities with the Lorentz-polarization factor, no thermal factor.

Structure:
abc: 6.095 6.095 8.613
angles: 90.00 90.00 120.00
Positions (direct):
Sm (0.333, 0.667, 0.000)
Sm (0.667, 0.333, 0.000)
Tm (0.000, 0.000, 0.000)
Tm (0.000, 0.332, 0.664)
Tm (0.000, 0.668, 0.336)
Tm (0.332, 0.000, 0.664)
Tm (0.332, 0.332, 0.336)
Tm (0.668, 0.000, 0.336)
Tm (0.668, 0.668, 0.664)

Most intense lines, 5 to 70 degrees two-theta, sorted by position:
Position (°2θ)  I/Imax
31.1  100
36.1  51
52.0  36
61.8  43
64.9  12

SmTm2: computed powder diffraction line list (Cu Kα), based on a cell relaxed with PBE.
Kinematic intensities with the Lorentz-polarization factor, no thermal factor.

Structure:
abc: 6.245 6.245 6.674
angles: 117.88 117.88 59.99
Positions (direct):
Sm (0.085, 0.915, 0.750)
Sm (0.915, 0.085, 0.250)
Tm (0.252, 0.416, 0.249)
Tm (0.416, 0.252, 0.749)
Tm (0.584, 0.748, 0.251)
Tm (0.748, 0.584, 0.751)

Most intense lines, 5 to 70 degrees two-theta, sorted by position:
Position (°2θ)  I/Imax
28.6  24
31.9  24
32.8  100
43.3  16
50.6  20
57.4  20
59.2  3
61.1  23
61.7  16
66.6  3
68.8  4

SmY3Tm8: computed powder diffraction line list (Cu Kα), based on a cell relaxed with PBE.
Kinematic intensities with the Lorentz-polarization factor, no thermal factor.

Structure:
abc: 8.365 8.365 6.229
angles: 111.84 111.84 83.64
Positions (direct):
Sm (0.000, 0.000, 0.000)
Y (0.250, 0.749, 0.337)
Y (0.500, 0.500, 0.000)
Y (0.749, 0.250, 0.337)
Tm (0.082, 0.581, 0.667)
Tm (0.168, 0.168, 0.672)
Tm (0.332, 0.332, 0.337)
Tm (0.417, 0.917, 0.002)
Tm (0.581, 0.082, 0.667)
Tm (0.668, 0.668, 0.672)
Tm (0.832, 0.832, 0.336)
Tm (0.917, 0.417, 0.002)

Most intense lines, 5 to 70 degrees two-theta, sorted by position:
Position (°2θ)  I/Imax
16.4  4
22.9  3
28.6  24
32.1  24
32.9  100
43.5  15
50.7  20
57.7  20
59.3  3
61.3  22
61.8  16
69.0  4

SmY6Tm4: computed powder diffraction line list (Cu Kα), based on a cell relaxed with PBE.
Kinematic intensities with the Lorentz-polarization factor, no thermal factor.

Structure:
abc: 5.612 5.612 25.689
angles: 90.00 90.00 119.73
Positions (direct):
Sm (0.170, 0.830, 0.750)
Sm (0.830, 0.170, 0.250)
Y (0.162, 0.838, 0.180)
Y (0.162, 0.838, 0.320)
Y (0.171, 0.829, 0.601)
Y (0.171, 0.829, 0.899)
Y (0.496, 0.504, 0.250)
Y (0.500, 0.500, 0.000)
Y (0.500, 0.500, 0.500)
Y (0.504, 0.496, 0.750)
Y (0.829, 0.171, 0.101)
Y (0.829, 0.171, 0.399)
Y (0.838, 0.162, 0.680)
Y (0.838, 0.162, 0.820)
Tm (0.165, 0.835, 0.042)
Tm (0.165, 0.835, 0.458)
Tm (0.494, 0.505, 0.121)
Tm (0.494, 0.505, 0.379)
Tm (0.505, 0.494, 0.621)
Tm (0.505, 0.494, 0.879)
Tm (0.835, 0.165, 0.542)
Tm (0.835, 0.165, 0.958)

Most intense lines, 5 to 70 degrees two-theta, sorted by position:
Position (°2θ)  I/Imax
22.9  17
30.5  94
31.8  51
31.9  100
33.4  46
44.6  23
46.8  11
56.0  23
56.7  19
57.8  12
60.2  21
66.7  12

Sm12Y5Tm: computed powder diffraction line list (Cu Kα), based on a cell relaxed with PBE.
Kinematic intensities with the Lorentz-polarization factor, no thermal factor.

Structure:
abc: 10.800 5.101 10.816
angles: 90.00 90.14 90.00
Positions (direct):
Sm (0.000, 0.000, 0.166)
Sm (0.000, 0.000, 0.834)
Sm (0.167, 0.500, 0.667)
Sm (0.168, 0.500, 0.000)
Sm (0.334, 0.000, 0.500)
Sm (0.334, 0.000, 0.834)
Sm (0.500, 0.500, 0.332)
Sm (0.500, 0.500, 0.668)
Sm (0.666, 0.000, 0.166)
Sm (0.666, 0.000, 0.500)
Sm (0.832, 0.500, 0.000)
Sm (0.833, 0.500, 0.333)
Y (0.000, 0.000, 0.500)
Y (0.167, 0.500, 0.333)
Y (0.334, 0.000, 0.166)
Y (0.666, 0.000, 0.834)
Y (0.833, 0.500, 0.667)
Tm (0.500, 0.500, 0.000)

Most intense lines, 5 to 70 degrees two-theta, sorted by position:
Position (°2θ)  I/Imax
8.2  1
11.6  3
23.3  1
25.4  2
30.4  100
35.2  51
37.2  1
50.6  30
50.7  6
60.2  28
60.3  14
63.2  12